Starting from the GGA-PBE geometry in the Materials Project, the powder XRD pattern of CaAs2F12 was calculated for copper Kα.

Cell and atoms:
Lattice parameters (Å, degrees): 5.3761 5.3761 7.7859 90.00 90.00 90.00
Atoms (fractional coordinates):
Ca 0.0000 0.0000 0.0000
As 0.0000 0.5000 0.2582
As 0.5000 0.0000 0.7418
F 0.0000 0.5000 0.0228
F 0.0000 0.5000 0.4794
F 0.2271 0.2613 0.2405
F 0.2271 0.7387 0.2405
F 0.2613 0.2271 0.7595
F 0.2613 0.7729 0.7595
F 0.5000 0.0000 0.5206
F 0.5000 0.0000 0.9772
F 0.7387 0.2271 0.7595
F 0.7387 0.7729 0.7595
F 0.7729 0.2613 0.2405
F 0.7729 0.7387 0.2405

Largest 6 diffraction maxima, in order of falling intensity, 10 to 90 degrees two-theta:
2theta, intensity
20.07, 100
23.40, 37
39.22, 23
47.86, 23
22.84, 20
46.66, 12